Structure and computed powder diffraction line list of Ba2GdO3F (a crystal structure in OQMD, relaxed with GGA-PBE; a wavelength of 1.5418 Å).
No peak broadening, texture or thermal motion is included.

abc: 4.366 4.366 13.736
angles: 90.00 90.00 90.00
Sites, in units of the cell vectors:
1 Ba 0.250 0.250 0.103
2 Ba 0.250 0.250 0.382
3 Ba 0.750 0.750 0.618
4 Ba 0.750 0.750 0.897
5 Gd 0.250 0.250 0.760
6 Gd 0.750 0.750 0.240
7 O 0.250 0.250 0.921
8 O 0.250 0.750 0.267
9 O 0.250 0.750 0.733
10 O 0.750 0.250 0.267
11 O 0.750 0.250 0.733
12 O 0.750 0.750 0.079
13 F 0.250 0.250 0.573
14 F 0.750 0.750 0.427

The 10 most intense peaks (5° ≤ 2θ ≤ 70°), by intensity:
28.24 deg, intensity 100
28.92 deg, intensity 71
50.84 deg, intensity 40
41.36 deg, intensity 36
38.73 deg, intensity 23
12.89 deg, intensity 18
49.57 deg, intensity 16
57.95 deg, intensity 14
67.89 deg, intensity 12
58.41 deg, intensity 12

***

Structure and computed powder diffraction line list of Sr2FeCuSn4 (a crystal structure in OQMD, relaxed with GGA-PBE; a wavelength of 1.5418 Å).
No peak broadening, texture or thermal motion is included.

abc: 4.584 9.934 9.934
angles: 27.35 90.00 90.00
Sites, in units of the cell vectors:
1 Sr 0.000 0.000 0.000
2 Sr 0.500 0.218 0.218
3 Fe 0.000 0.792 0.792
4 Cu 0.500 0.436 0.436
5 Sn 0.000 0.360 0.360
6 Sn 0.000 0.658 0.658
7 Sn 0.500 0.569 0.569
8 Sn 0.500 0.860 0.860

The 10 most intense peaks (5° ≤ 2θ ≤ 70°), by intensity:
30.58 deg, intensity 100
38.32 deg, intensity 28
39.31 deg, intensity 26
42.84 deg, intensity 25
34.04 deg, intensity 24
56.06 deg, intensity 19
29.96 deg, intensity 16
52.18 deg, intensity 14
64.53 deg, intensity 12
65.89 deg, intensity 12

***

Structure and computed powder diffraction line list of Ta2Cd3W4N3 (a crystal structure in OQMD, relaxed with GGA-PBE; a wavelength of 1.5418 Å).
No peak broadening, texture or thermal motion is included.

abc: 5.337 5.337 14.615
angles: 100.02 100.02 60.33
Sites, in units of the cell vectors:
1 Ta 0.021 0.854 0.590
2 Ta 0.146 0.979 0.910
3 Ta 0.854 0.021 0.090
4 Ta 0.979 0.146 0.410
5 Cd 0.081 0.275 0.745
6 Cd 0.275 0.081 0.245
7 Cd 0.442 0.558 0.750
8 Cd 0.558 0.442 0.250
9 Cd 0.725 0.919 0.755
10 Cd 0.919 0.725 0.255
11 W 0.192 0.378 0.077
12 W 0.326 0.452 0.422
13 W 0.378 0.192 0.577
14 W 0.452 0.326 0.922
15 W 0.548 0.674 0.078
16 W 0.622 0.808 0.423
17 W 0.674 0.548 0.578
18 W 0.808 0.622 0.923
19 N 0.000 0.500 0.500
20 N 0.152 0.702 0.999
21 N 0.298 0.848 0.501
22 N 0.500 0.000 0.000
23 N 0.702 0.152 0.499
24 N 0.848 0.298 0.001

The 10 most intense peaks (5° ≤ 2θ ≤ 70°), by intensity:
38.51 deg, intensity 100
38.80 deg, intensity 48
37.70 deg, intensity 33
33.59 deg, intensity 20
59.83 deg, intensity 18
12.37 deg, intensity 18
33.41 deg, intensity 12
68.42 deg, intensity 9
60.16 deg, intensity 9
51.25 deg, intensity 9